[1]
This entry pairs a crystal structure of Cs2Pu3ScO12 with its calculated powder diffraction line list. Radiation: Cu Kα X-rays. Structure: a cell relaxed with PBE.

Structure:
Cell: 7.9098 7.9098 18.2370 Å, 90.00 90.00 120.00°
Space group R-3m (No. 166, hexagonal axes)
Symmetry-distinct sites (fractional):
Cs 0.0000 0.0000 0.1267 (multiplicity 6)
Pu 0.0000 0.5000 0.0000 (multiplicity 9)
Sc 0.0000 0.0000 0.5000 (multiplicity 3)
O 0.0778 0.5389 0.1020 (multiplicity 18)
O 0.0806 0.5403 0.3574 (multiplicity 18)

Largest 8 diffraction maxima, by angle, 10° ≤ 2θ ≤ 90°:
| index | d [Å] | I (rel.) |
| --- | --- | --- |
| 0 0 3 | 6.079 | 50 |
| 1 0 4 | 3.795 | 33 |
| 0 2 1 | 3.366 | 100 |
| 1 1 3 | 3.315 | 62 |
| 0 1 5 | 3.219 | 27 |
| 2 0 2 | 3.206 | 68 |
| 2 2 0 | 1.977 | 37 |
| 2 0 8 | 1.898 | 32 |


[2]
This entry pairs a crystal structure of CsSr2PuO6 with its calculated powder diffraction line list. Radiation: Cu Kα X-rays. Structure: a cell relaxed with PBE.

Structure:
Cell: 6.0825 6.6728 10.9967 Å, 90.00 123.55 90.00°
Space group P2_1/c (No. 14)
Symmetry-distinct sites (fractional):
Cs 0.0000 0.0000 0.0000 (multiplicity 2)
Sr 0.2171 0.0014 0.7172 (multiplicity 4)
Pu 0.5000 0.0000 0.5000 (multiplicity 2)
O 0.2088 0.1366 0.4991 (multiplicity 4)
O 0.2155 0.6849 0.8438 (multiplicity 4)
O 0.4695 0.1808 0.3412 (multiplicity 4)

Largest 8 diffraction maxima, by angle, 10° ≤ 2θ ≤ 90°:
| index | d [Å] | I (rel.) |
| --- | --- | --- |
| 0 1 1 | 5.395 | 21 |
| 1 1 -1 | 4.495 | 17 |
| 0 2 0 | 3.336 | 25 |
| 1 1 1 | 3.209 | 100 |
| 2 0 -2 | 3.041 | 21 |
| 2 2 -2 | 2.248 | 21 |
| 1 3 1 | 1.901 | 26 |
| 3 1 -1 | 1.786 | 21 |


[3]
This entry pairs a crystal structure of Cs2PuTeO6 with its calculated powder diffraction line list. Radiation: Cu Kα X-rays. Structure: a cell relaxed with PBE.

Structure:
Cell: 6.4069 6.4069 16.1458 Å, 90.00 90.00 120.00°
Space group R3m (No. 160, hexagonal axes)
Symmetry-distinct sites (fractional):
Cs 0.0000 0.0000 0.0000 (multiplicity 3)
Cs 0.0000 0.0000 0.4940 (multiplicity 3)
Pu 0.0000 0.0000 0.2529 (multiplicity 3)
Te 0.0000 0.0000 0.7248 (multiplicity 3)
O 0.1797 0.3595 0.3349 (multiplicity 9)
O 0.1895 0.3790 0.8519 (multiplicity 9)

Largest 8 diffraction maxima, by angle, 10° ≤ 2θ ≤ 90°:
| index | d [Å] | I (rel.) |
| --- | --- | --- |
| 1 0 4 | 3.264 | 99 |
| 1 1 0 | 3.203 | 100 |
| 0 2 4 | 2.286 | 53 |
| 0 1 8 | 1.897 | 17 |
| 2 1 4 | 1.861 | 39 |
| 3 0 0 | 1.850 | 21 |
| 2 2 0 | 1.602 | 18 |
| 1 3 4 | 1.438 | 19 |


[4]
This entry pairs a crystal structure of Cs4YPu3O12 with its calculated powder diffraction line list. Radiation: Cu Kα X-rays. Structure: a cell relaxed with PBE.

Structure:
Cell: 8.7810 8.7810 8.7810 Å, 90.00 90.00 90.00°
Space group Im-3m (No. 229)
Symmetry-distinct sites (fractional):
Cs 0.2500 0.2500 0.2500 (multiplicity 8)
Y 0.0000 0.0000 0.0000 (multiplicity 2)
Pu 0.0000 0.0000 0.5000 (multiplicity 6)
O 0.0000 0.0000 0.2689 (multiplicity 12)
O 0.0000 0.2500 0.5000 (multiplicity 12)

Largest 8 diffraction maxima, by angle, 10° ≤ 2θ ≤ 90°:
| index | d [Å] | I (rel.) |
| --- | --- | --- |
| 1 1 0 | 6.209 | 7 |
| 2 0 0 | 4.391 | 9 |
| 2 2 0 | 3.105 | 100 |
| 4 0 0 | 2.195 | 28 |
| 4 2 2 | 1.792 | 42 |
| 4 4 0 | 1.552 | 18 |
| 6 2 0 | 1.388 | 19 |
| 6 4 2 | 1.173 | 22 |


[5]
This entry pairs a crystal structure of Cs4Rb7O with its calculated powder diffraction line list. Radiation: Cu Kα X-rays. Structure: a cell relaxed with PBE.

Structure:
Cell: 25.4346 5.3695 17.6867 Å, 90.00 115.13 90.00°
Space group C2/m (No. 12)
Symmetry-distinct sites (fractional):
Cs 0.0768 0.0000 0.4406 (multiplicity 4)
Cs 0.1795 0.0000 0.0562 (multiplicity 4)
Rb 0.0000 0.0000 0.0000 (multiplicity 2)
Rb 0.0262 0.5000 0.1592 (multiplicity 4)
Rb 0.1324 0.0000 0.7522 (multiplicity 4)
Rb 0.2381 0.0000 0.3615 (multiplicity 4)
O 0.0000 0.5000 0.0000 (multiplicity 2)

Largest 8 diffraction maxima, by angle, 10° ≤ 2θ ≤ 90°:
| index | d [Å] | I (rel.) |
| --- | --- | --- |
| 3 1 -1 | 4.534 | 47 |
| 3 1 0 | 4.400 | 43 |
| 4 0 -4 | 4.236 | 72 |
| 2 0 3 | 4.205 | 95 |
| 6 0 -1 | 4.153 | 100 |
| 1 1 -3 | 3.931 | 78 |
| 5 1 -1 | 3.670 | 40 |
| 4 2 -4 | 2.266 | 58 |


[6]
This entry pairs a crystal structure of Cs3Rb2O with its calculated powder diffraction line list. Radiation: Cu Kα X-rays. Structure: a cell relaxed with PBE.

Structure:
Cell: 8.8315 9.0053 13.6551 Å, 103.61 90.01 119.29°
Space group P-1 (No. 2)
Symmetry-distinct sites (fractional):
Cs 0.0451 0.2033 0.3341 (multiplicity 2)
Cs 0.1294 0.4990 0.7503 (multiplicity 2)
Cs 0.3440 0.7982 0.1666 (multiplicity 2)
Rb 0.2280 0.3041 0.0828 (multiplicity 2)
Rb 0.4238 0.6958 0.4176 (multiplicity 2)
O 0.1806 0.5005 0.2502 (multiplicity 2)

Largest 8 diffraction maxima, by angle, 10° ≤ 2θ ≤ 90°:
| index | d [Å] | I (rel.) |
| --- | --- | --- |
| 0 0 2 | 6.574 | 34 |
| -1 1 2 | 4.675 | 58 |
| 1 -2 1 | 4.481 | 34 |
| 2 -1 0 | 4.414 | 48 |
| 1 0 -3 | 4.045 | 100 |
| 1 1 1 | 3.890 | 84 |
| 2 0 -1 | 3.803 | 76 |
| -3 2 2 | 2.597 | 80 |


[7]
This entry pairs a crystal structure of Cs3Rb4O with its calculated powder diffraction line list. Radiation: Cu Kα X-rays. Structure: a cell relaxed with PBE.

Structure:
Cell: 10.9053 9.9895 12.1519 Å, 90.00 90.00 90.00°
Space group Pmn2_1 (No. 31)
Symmetry-distinct sites (fractional):
Cs 0.0000 0.0019 0.0000 (multiplicity 2)
Cs 0.1816 0.3180 0.3034 (multiplicity 4)
Rb 0.0000 0.0093 0.5951 (multiplicity 2)
Rb 0.0000 0.5074 0.5665 (multiplicity 2)
Rb 0.1725 0.7034 0.3058 (multiplicity 4)
O 0.0000 0.5066 0.3485 (multiplicity 2)

Largest 8 diffraction maxima, by angle, 10° ≤ 2θ ≤ 90°:
| index | d [Å] | I (rel.) |
| --- | --- | --- |
| 1 1 1 | 6.299 | 75 |
| 0 1 2 | 5.191 | 46 |
| 2 0 2 | 4.058 | 95 |
| 0 2 2 | 3.858 | 100 |
| 1 0 3 | 3.797 | 48 |
| 2 2 0 | 3.683 | 74 |
| 3 0 1 | 3.483 | 56 |
| 3 2 3 | 2.379 | 45 |


[8]
This entry pairs a crystal structure of CsRb14O with its calculated powder diffraction line list. Radiation: Cu Kα X-rays. Structure: a cell relaxed with PBE.

Structure:
Cell: 11.7604 14.7086 15.7472 Å, 90.00 90.00 90.00°
Space group Amm2 (No. 38)
Symmetry-distinct sites (fractional):
Cs 0.0000 0.0000 0.0000 (multiplicity 2)
Rb 0.0000 0.1800 0.2153 (multiplicity 4)
Rb 0.2100 0.0000 0.7127 (multiplicity 4)
Rb 0.2281 0.0000 0.2066 (multiplicity 4)
Rb 0.2302 0.2264 0.4650 (multiplicity 8)
Rb 0.5000 0.0000 0.4645 (multiplicity 2)
Rb 0.5000 0.0000 0.9567 (multiplicity 2)
Rb 0.5000 0.2438 0.7150 (multiplicity 4)
O 0.0000 0.0000 0.1715 (multiplicity 2)

Largest 8 diffraction maxima, by angle, 10° ≤ 2θ ≤ 90°:
| index | d [Å] | I (rel.) |
| --- | --- | --- |
| 2 2 2 | 3.967 | 100 |
| 0 0 4 | 3.936 | 31 |
| 0 4 0 | 3.678 | 20 |
| 4 0 0 | 2.940 | 12 |
| 0 4 4 | 2.686 | 17 |
| 4 0 4 | 2.355 | 14 |
| 4 4 0 | 2.296 | 11 |
| 2 2 6 | 2.279 | 19 |


[9]
This entry pairs a crystal structure of Cs3Rb2RhO6 with its calculated powder diffraction line list. Radiation: Cu Kα X-rays. Structure: a cell relaxed with PBE.

Structure:
Cell: 6.8145 11.8093 6.7592 Å, 90.00 109.91 90.00°
Space group C2/m (No. 12)
Symmetry-distinct sites (fractional):
Cs 0.0000 0.0000 0.0000 (multiplicity 2)
Cs 0.0000 0.3358 0.0000 (multiplicity 4)
Rb 0.0000 0.1676 0.5000 (multiplicity 4)
Rh 0.0000 0.5000 0.5000 (multiplicity 2)
O 0.1763 0.5000 0.3194 (multiplicity 4)
O 0.1796 0.3820 0.6794 (multiplicity 8)

Largest 8 diffraction maxima, by angle, 10° ≤ 2θ ≤ 90°:
| index | d [Å] | I (rel.) |
| --- | --- | --- |
| 1 3 -1 | 3.209 | 100 |
| 0 0 2 | 3.178 | 32 |
| 2 0 -2 | 2.778 | 33 |
| 1 3 1 | 2.770 | 65 |
| 3 3 -1 | 1.968 | 31 |
| 1 3 -3 | 1.955 | 21 |
| 2 6 0 | 1.677 | 29 |
| 3 3 1 | 1.669 | 17 |


[10]
This entry pairs a crystal structure of Cs2Rb2RuO4 with its calculated powder diffraction line list. Radiation: Cu Kα X-rays. Structure: a cell relaxed with PBE.

Structure:
Cell: 6.6633 6.6633 9.1193 Å, 90.00 90.00 90.00°
Space group I4/mmm (No. 139)
Symmetry-distinct sites (fractional):
Cs 0.0000 0.5000 0.2500 (multiplicity 4)
Rb 0.0000 0.0000 0.1596 (multiplicity 4)
Ru 0.0000 0.0000 0.5000 (multiplicity 2)
O 0.2054 0.2054 0.5000 (multiplicity 8)

Largest 8 diffraction maxima, by angle, 10° ≤ 2θ ≤ 90°:
| index | d [Å] | I (rel.) |
| --- | --- | --- |
| 2 0 0 | 3.332 | 100 |
| 1 1 2 | 3.277 | 73 |
| 1 0 3 | 2.766 | 46 |
| 2 0 2 | 2.690 | 41 |
| 2 2 0 | 2.356 | 57 |
| 2 1 3 | 2.128 | 34 |
| 3 1 2 | 1.913 | 28 |
| 3 1 6 | 1.233 | 23 |


[11]
This entry pairs a crystal structure of Cs3RbRu2O8 with its calculated powder diffraction line list. Radiation: Cu Kα X-rays. Structure: a cell relaxed with PBE.

Structure:
Cell: 6.6536 6.6536 8.6252 Å, 90.00 90.00 120.00°
Space group P-3m1 (No. 164)
Symmetry-distinct sites (fractional):
Cs 0.0000 0.0000 0.0000 (multiplicity 1)
Cs 0.3333 0.6667 0.6707 (multiplicity 2)
Rb 0.0000 0.0000 0.5000 (multiplicity 1)
Ru 0.3333 0.6667 0.2121 (multiplicity 2)
O 0.1878 0.3756 0.2904 (multiplicity 6)
O 0.3333 0.6667 0.0063 (multiplicity 2)

Largest 8 diffraction maxima, by angle, 10° ≤ 2θ ≤ 90°:
| index | d [Å] | I (rel.) |
| --- | --- | --- |
| 0 1 2 | 3.453 | 90 |
| 1 1 0 | 3.327 | 100 |
| 2 0 2 | 2.396 | 44 |
| 1 2 2 | 1.944 | 33 |
| 3 0 0 | 1.921 | 20 |
| 2 2 0 | 1.663 | 17 |
| 2 1 4 | 1.532 | 14 |
| 3 1 2 | 1.499 | 16 |


[12]
This entry pairs a crystal structure of Cs3Rb5Se4O16 with its calculated powder diffraction line list. Radiation: Cu Kα X-rays. Structure: a cell relaxed with PBE.

Structure:
Cell: 8.3623 6.4048 11.1404 Å, 90.00 90.07 90.00°
Space group Pm (No. 6)
Symmetry-distinct sites (fractional):
Cs 0.0000 0.0000 0.0000 (multiplicity 1)
Cs 0.1671 0.5000 0.4991 (multiplicity 1)
Cs 0.5041 0.0000 0.6700 (multiplicity 1)
Rb 0.3319 0.5000 0.8823 (multiplicity 1)
Rb 0.3339 0.0000 0.2890 (multiplicity 1)
Rb 0.6525 0.5000 0.1665 (multiplicity 1)
Rb 0.8329 0.5000 0.7884 (multiplicity 1)
Rb 0.8357 0.0000 0.3792 (multiplicity 1)
Se 0.0600 0.0000 0.6673 (multiplicity 1)
Se 0.1069 0.5000 0.1664 (multiplicity 1)
Se 0.5586 0.0000 0.0068 (multiplicity 1)
Se 0.6123 0.5000 0.4989 (multiplicity 1)
O 0.0246 0.5000 0.0285 (multiplicity 1)
O 0.0477 0.2852 0.2408 (multiplicity 2)
O 0.1211 0.2149 0.7410 (multiplicity 2)
O 0.1398 0.0000 0.5287 (multiplicity 1)
O 0.3071 0.5000 0.1563 (multiplicity 1)
O 0.3586 0.0000 0.0133 (multiplicity 1)
O 0.5275 0.5000 0.6360 (multiplicity 1)
O 0.5539 0.2859 0.4232 (multiplicity 2)
O 0.6204 0.2157 0.9340 (multiplicity 2)
O 0.6372 0.0000 0.1460 (multiplicity 1)
O 0.8117 0.5000 0.5123 (multiplicity 1)
O 0.8600 0.0000 0.6596 (multiplicity 1)

Largest 8 diffraction maxima, by angle, 10° ≤ 2θ ≤ 90°:
| index | d [Å] | I (rel.) |
| --- | --- | --- |
| 1 1 2 | 3.755 | 14 |
| 2 1 0 | 3.501 | 16 |
| 2 1 -1 | 3.341 | 62 |
| 0 2 0 | 3.209 | 100 |
| 2 0 -3 | 2.777 | 14 |
| 2 2 2 | 2.313 | 17 |
| 0 3 3 | 1.851 | 12 |
| 0 4 0 | 1.601 | 13 |


Number 12 is which compound? Cs3Rb5Se4O16